The following is a simulated powder X-ray diffraction pattern of La2Pm2Cd. It was derived from a DFT-relaxed cell (GGA-PBE, Alexandria), using Cu Ka.
Neutral-atom scattering factors, no anomalous dispersion.

Structural model:
Cell: 6.4615 6.4615 8.7118 Å, 106.93 106.93 94.21°
Fractional positions:
La 0.1616 0.1616 0.4268
La 0.2857 0.2857 0.8786
La 0.7143 0.7143 0.1214
La 0.8384 0.8384 0.5732
Pm 0.2308 0.6049 0.2789
Pm 0.3951 0.7692 0.7211
Pm 0.6049 0.2308 0.2789
Pm 0.7692 0.3951 0.7211
Cd 0.1580 0.8420 0.0000
Cd 0.8420 0.1580 0.0000

The 10 most intense peaks (2θ = 10–90°), by angle:
Position (°2θ)  Rel. int.
27.7  154
29.3  348
29.5  168
30.8  1000
31.8  553
32.1  466
34.9  214
35.1  422
52.0  162
57.3  157